This entry pairs a crystal structure of NbAlO4 with its computed X-ray powder pattern. Radiation: Cu Kα (λ = 1.5418 Å). Structure: a crystal structure in the Materials Project, relaxed with GGA-PBE.
Intensities are scaled so that the largest is 100.

Cell lengths 3.803, 6.397, 12.994 Å; angles 77.62, 81.59, 72.73 degrees
Space group P-1 (No. 2)
Inequivalent atoms, fractional coordinates:
Nb  0.107  0.153  0.134 x2
Nb  0.196  0.743  0.366 x2
Al  0.096  0.652  0.656 x2
Al  0.195  0.262  0.846 x2
O  0.058  0.571  0.812 x2
O  0.061  0.062  0.317 x2
O  0.132  0.245  0.991 x2
O  0.137  0.719  0.508 x2
O  0.258  0.305  0.678 x2
O  0.269  0.793  0.171 x2
O  0.351  0.943  0.854 x2
O  0.368  0.417  0.348 x2

Principal peaks in the range 15 to 90 degrees two-theta, low angle first:
Position (°2θ), intensity
15.14, 40
18.44, 48
22.18, 32
24.61, 100
26.22, 27
28.24, 66
29.74, 34
33.11, 29
44.50, 28
47.84, 45